Starting from a DFT-relaxed cell (PBE+U, Alexandria), the PXRD pattern of Mn5SnO12 was simulated for Cu Kα.
Intensities are scaled so that the largest is 100.

Principal peaks in the range 2θ from 5° to 70°, low angle first:
d/Å	Position (°2θ)	I (rel.)	(hkl)
10.301	8.58	6	0 0 1
5.150	17.22	100	0 0 2
2.586	34.69	7	2 0 0
2.510	35.78	29	1 3 1
2.311	38.97	20	2 0 -2
2.067	43.81	28	1 3 -3
1.825	49.99	12	2 0 4
1.612	57.15	15	1 3 -5
1.478	62.88	13	3 3 -1
1.369	68.52	5	3 3 -3

Atomic structure:
```
data_Mn5SnO12
_chemical_formula_sum 'Mn10 Sn2 O24'
_cell_length_a 5.1718
_cell_length_b 8.9662
_cell_length_c 10.3007
_cell_angle_alpha 90.00
_cell_angle_beta 90.10
_cell_angle_gamma 90.00
_symmetry_space_group_name_H-M 'C 1 2/m 1'
_symmetry_Int_Tables_number 12
_symmetry_space_group_name_Hall '-C 2y'
loop_
_atom_site_label
_atom_site_fract_x
_atom_site_fract_y
_atom_site_fract_z
Mn1 0.0000 0.0000 0.0000
Mn2 0.0000 0.1667 0.5000
Mn3 0.0000 0.3333 0.0000
Sn1 0.0000 0.5000 0.5000
O1 0.1464 0.0000 0.5971
O2 0.1664 0.1666 0.9092
O3 0.1661 0.5000 0.9090
O4 0.1772 0.3231 0.5970
```